Starting from DFT lattice parameters and positions (PBE), the powder XRD pattern of RbNa10Li was simulated for CuKα.
Peak positions follow from Bragg's law for the DFT cell and can differ from measured ones.

Peak list (10 most intense, 2θ = 10–90°, by angle)
- (0 1 2), 19.5 deg, I = 50
- (1 1 1), 20.8 deg, I = 42
- (1 1 2), 24.4 deg, I = 32
- (0 1 3), 25.5 deg, I = 23
- (2 0 0), 29.4 deg, I = 75
- (1 1 3), 29.5 deg, I = 100
- (1 2 0), 29.8 deg, I = 84
- (2 2 2), 42.4 deg, I = 31
- (1 3 3), 47.9 deg, I = 26
- (0 2 6), 52.4 deg, I = 24

Crystal structure
```
12
Lattice="6.0652 0.0000 0.0000 0.0000 6.8918 0.0000 0.0000 0.0000 12.1439" Properties=species:S:1:pos:R:3 pbc="T T T"
Rb 0.0000 0.0000 0.0000
Na 0.0000 0.0000 4.2560
Na 0.0000 0.0000 7.8879
Na 0.0000 3.4459 2.3999
Na 0.0000 3.4459 9.7440
Na 3.0326 0.0000 6.0720
Na 3.0326 1.7599 3.1899
Na 3.0326 1.7599 8.9541
Na 3.0326 3.4459 0.0000
Na 3.0326 5.1320 3.1899
Na 3.0326 5.1320 8.9541
Li 0.0000 3.4459 6.0720
```